For PuNiPt, the PBE geometry in Alexandria gives the computed powder diffractogram in this record (λ = 1.5418 Å (Cu Kα)).
Intensities are scaled so that the largest is 100.

Structure:
```
data_PuNiPt
_chemical_formula_sum 'Pu4 Ni4 Pt4'
_cell_length_a 5.1880
_cell_length_b 5.4312
_cell_length_c 7.3679
_cell_angle_alpha 90.00
_cell_angle_beta 90.00
_cell_angle_gamma 90.00
_space_group_name_H-M_alt 'I m m a'
_space_group_IT_number 74
_space_group_name_Hall '-I 2b 2'
loop_
_atom_site_label
_atom_site_fract_x
_atom_site_fract_y
_atom_site_fract_z
_atom_site_occupancy
Pu1 0.0000 0.2500 0.1225 1
Ni1 0.2500 0.2500 0.7500 1
Pt1 0.0000 0.0000 0.5000 1
```

Most intense lines, 15° ≤ 2θ ≤ 90°, by angle:
| h k l | two_theta | d [Å] | intensity |
| --- | --- | --- | --- |
| 1 1 2 | 34.1 | 2.629 | 62.2 |
| 2 0 0 | 34.6 | 2.594 | 35.5 |
| 1 2 1 | 39.4 | 2.287 | 100.0 |
| 2 1 1 | 40.4 | 2.231 | 37.4 |
| 1 0 3 | 40.6 | 2.220 | 43.3 |
| 2 2 4 | 71.8 | 1.314 | 32.2 |

---

For PuNi8Pt3, the PBE geometry in Alexandria gives the computed powder diffractogram in this record (λ = 1.5418 Å (Cu Kα)).
Intensities are scaled so that the largest is 100.

Structure:
```
data_PuNi8Pt3
_chemical_formula_sum 'Pu1 Ni8 Pt3'
_cell_length_a 4.8288
_cell_length_b 4.8288
_cell_length_c 7.8012
_cell_angle_alpha 90.00
_cell_angle_beta 90.00
_cell_angle_gamma 120.00
_space_group_name_H-M_alt 'P 3 m 1'
_space_group_IT_number 156
_space_group_name_Hall 'P 3 -2"'
loop_
_atom_site_label
_atom_site_fract_x
_atom_site_fract_y
_atom_site_fract_z
_atom_site_occupancy
Pu1 0.0000 0.0000 0.0000 1
Ni1 0.1649 0.3298 0.6784 1
Ni2 0.3333 0.6667 0.4323 1
Ni3 0.3333 0.6667 0.9317 1
Ni4 0.5029 0.0058 0.1905 1
Pt1 0.0000 0.0000 0.3783 1
Pt2 0.6667 0.3333 0.4966 1
Pt3 0.6667 0.3333 0.8628 1
```

Most intense lines, 15° ≤ 2θ ≤ 90°, by angle:
| h k l | two_theta | d [Å] | intensity |
| --- | --- | --- | --- |
| 1 1 0 | 37.2 | 2.414 | 71.7 |
| 1 0 3 | 40.9 | 2.208 | 100.0 |
| 1 1 2 | 44.1 | 2.053 | 91.6 |
| 2 0 1 | 44.9 | 2.020 | 48.3 |
| 2 1 3 | 69.6 | 1.351 | 40.6 |
| 0 2 5 | 76.1 | 1.250 | 24.6 |

---

For PuNiPt4, the PBE geometry in Alexandria gives the computed powder diffractogram in this record (λ = 1.5418 Å (Cu Kα)).
Intensities are scaled so that the largest is 100.

Structure:
```
data_PuNiPt4
_chemical_formula_sum 'Pu2 Ni2 Pt8'
_cell_length_a 7.5026
_cell_length_b 4.0339
_cell_length_c 6.7510
_cell_angle_alpha 90.00
_cell_angle_beta 90.00
_cell_angle_gamma 90.00
_space_group_name_H-M_alt 'P m m a'
_space_group_IT_number 51
_space_group_name_Hall '-P 2a 2a'
loop_
_atom_site_label
_atom_site_fract_x
_atom_site_fract_y
_atom_site_fract_z
_atom_site_occupancy
Pu1 0.2500 0.0000 0.1258 1
Ni1 0.2500 0.0000 0.7402 1
Pt1 0.0000 0.0000 0.5000 1
Pt2 0.0436 0.5000 0.8083 1
Pt3 0.2500 0.5000 0.4609 1
```

Most intense lines, 15° ≤ 2θ ≤ 90°, by angle:
| h k l | two_theta | d [Å] | intensity |
| --- | --- | --- | --- |
| 2 1 1 | 35.3 | 2.544 | 100.0 |
| 1 1 2 | 36.7 | 2.447 | 33.8 |
| 0 0 3 | 40.1 | 2.250 | 28.5 |
| 2 1 2 | 42.4 | 2.131 | 63.2 |
| 0 2 0 | 44.9 | 2.017 | 33.9 |
| 4 0 0 | 48.5 | 1.876 | 17.6 |